No. 1
# LaAl4Co
Computed powder X-ray diffraction pattern, Cu Kα X-rays. Input: a crystal structure in OQMD, relaxed with GGA-PBE.

Cell and atoms:
```
data_LaAl4Co
_chemical_formula_sum 'La2 Al8 Co2'
_space_group_name_H-M_alt 'P m m a'
_space_group_IT_number 51
_cell_length_a 7.6935
_cell_length_b 4.0638
_cell_length_c 6.9927
_cell_angle_alpha 90.00
_cell_angle_beta 90.00
_cell_angle_gamma 90.00
loop_
_space_group_symop_operation_xyz
'x,y,z'
'-x,-y,-z'
'-x+1/2,-y,z'
'x+1/2,y,-z'
'x+1/2,-y,-z'
'-x+1/2,y,z'
'-x,y,-z'
'x,-y,z'
loop_
_atom_site_label
_atom_site_type_symbol
_atom_site_fract_x
_atom_site_fract_y
_atom_site_fract_z
La1 La 0.2500 0.0000 0.1138
Al1 Al 0.0000 0.0000 0.5000
Al2 Al 0.0708 0.5000 0.7931
Al3 Al 0.2500 0.5000 0.4566
Co1 Co 0.2500 0.0000 0.6829
```

Top 10 peaks for 2θ from 10° to 80°, by angle:
two_theta  I (rel.)  (hkl)
21.87  423  0 1 0
23.12  486  2 0 0
28.03  538  1 0 2
32.04  502  2 1 0
34.57  500  2 1 1
35.83  1000  1 1 2
40.44  236  1 0 3
43.78  256  3 0 2
44.59  291  0 2 0
49.45  260  3 1 2



No. 2
# Zn2SeCl2O3
Computed powder X-ray diffraction pattern, Cu Kα X-rays. Input: a crystal structure in OQMD, relaxed with GGA-PBE.

Cell and atoms:
```
data_Zn2SeCl2O3
_chemical_formula_sum 'Zn8 Se4 Cl8 O12'
_space_group_name_H-M_alt 'P 1 21/c 1'
_space_group_IT_number 14
_cell_length_a 7.5411
_cell_length_b 10.2954
_cell_length_c 7.6527
_cell_angle_alpha 90.00
_cell_angle_beta 99.93
_cell_angle_gamma 90.00
loop_
_space_group_symop_operation_xyz
'x,y,z'
'-x,-y,-z'
'-x,y+1/2,-z+1/2'
'x,-y+1/2,z+1/2'
loop_
_atom_site_label
_atom_site_type_symbol
_atom_site_fract_x
_atom_site_fract_y
_atom_site_fract_z
Zn1 Zn 0.0844 0.2225 0.1258
Zn2 Zn 0.2366 0.5150 0.8930
Se1 Se 0.1948 0.0319 0.8172
Cl1 Cl 0.2321 0.7244 0.9663
Cl2 Cl 0.4104 0.0947 0.2369
O1 O 0.0147 0.0456 0.2197
O2 O 0.1299 0.1848 0.8788
O3 O 0.2043 0.0897 0.6059
```

Top 10 peaks for 2θ from 10° to 80°, by angle:
two_theta  I (rel.)  (hkl)
11.91  1000  1 0 0
23.96  258  2 0 0
25.16  216  0 1 2
26.08  330  1 1 -2
29.66  270  2 2 0
29.88  302  2 1 1
30.17  474  1 2 -2
34.86  221  0 4 0
39.95  224  3 0 -2
40.85  221  2 2 2